This entry pairs a crystal structure of YPu2UN4 with its computed X-ray powder pattern. Radiation: Cu Kα. Structure: a GGA-PBE-relaxed structure.
Kinematic intensities with the Lorentz-polarization factor, no thermal factor.

Atomic structure:
Lattice parameters (Å, degrees): 6.0038 3.4802 6.0127 90.00 109.28 90.00
Space group P2/m (No. 10)
Unique sites:
Y 0.0000 0.0000 0.0000
Pu 0.5000 0.0000 0.5000
Pu 0.5000 0.5000 0.0000
U 0.0000 0.5000 0.5000
N 0.2349 0.0000 0.7355
N 0.2421 0.5000 0.2627

Main lines, in order of rising 2θ (10° ≤ 2θ ≤ 90°):
2θ 15.63, d 5.671, intensity 10, (1 0 0); 2θ 31.54, d 2.836, intensity 100, (2 0 0); 2θ 36.53, d 2.460, intensity 45, (1 1 1); 2θ 36.68, d 2.450, intensity 22, (2 0 -2); 2θ 52.62, d 1.739, intensity 16, (0 2 0); 2θ 52.73, d 1.736, intensity 31, (3 1 -1); 2θ 62.65, d 1.483, intensity 31, (3 1 1); 2θ 62.86, d 1.478, intensity 15, (4 0 -2); 2θ 65.83, d 1.419, intensity 12, (2 2 -2); 2θ 89.00, d 1.100, intensity 11, (1 3 1)